Simulated PXRD pattern of Pr3Ni13B2 for a wavelength of 1.5418 Å, from a PBE-relaxed structure.
No peak broadening, texture or thermal motion is included.

Atomic structure:
Cell: 5.0463 5.0463 10.9598 Å, 90.00 90.00 120.00°
Space group P6/mmm (No. 191)
Unique sites:
Pr1 0.0000 0.0000 0.0000 (multiplicity 1)
Pr2 0.0000 0.0000 0.3296 (multiplicity 2)
Ni1 0.0000 0.5000 0.1331 (multiplicity 6)
Ni2 0.0000 0.5000 0.5000 (multiplicity 3)
Ni3 0.3333 0.6667 0.3190 (multiplicity 4)
B1 0.3333 0.6667 0.0000 (multiplicity 2)

Main lines, low angle first (10° ≤ 2θ ≤ 90°):
- (1 0 3), 2θ 31.93, rel. 68.3
- (1 1 0), 2θ 35.58, rel. 30.8
- (2 0 0), 2θ 41.32, rel. 60.3
- (1 1 3), 2θ 43.60, rel. 100.0
- (0 0 6), 2θ 49.93, rel. 14.1
- (2 1 3), 2θ 61.62, rel. 20.6
- (3 0 3), 2θ 69.46, rel. 23.6
- (2 2 0), 2θ 75.34, rel. 20.2